The following is a simulated XRD peak list of Li2V3O3F5. It was derived from a structure optimized by DFT (PBE+U), using a wavelength of 1.5418 Å.
Peak positions follow from Bragg's law for the DFT cell and can differ from measured ones.

Cell and atoms:
```
data_Li2V3O3F5
_chemical_formula_sum 'Li4 V6 O6 F10'
_cell_length_a 10.231
_cell_length_b 6.044
_cell_length_c 5.944
_cell_angle_alpha 90.00
_cell_angle_beta 122.91
_cell_angle_gamma 90.00
_space_group_name_H-M_alt 'C 1 m 1'
_space_group_IT_number 8
loop_
_space_group_symop_operation_xyz
'x,y,z'
'x,-y,z'
'x+1/2,y+1/2,z'
'x+1/2,-y+1/2,z'
loop_
_atom_site_label
_atom_site_type_symbol
_atom_site_fract_x
_atom_site_fract_y
_atom_site_fract_z
Li1 Li 0.000 0.000 0.000
Li2 Li 0.235 0.500 0.232
V1 V 0.117 0.263 0.630
V2 V 0.368 0.000 0.115
O1 O 0.098 0.500 0.370
O2 O 0.130 0.500 0.849
O3 O 0.137 0.000 0.864
F1 F 0.110 0.000 0.390
F2 F 0.361 0.243 0.873
F3 F 0.376 0.243 0.362
```

The 10 most intense peaks (2θ from 10° to 80°), in order of rising 2θ:
h k l  d [Å]  intensity
1 1 0  4.943  17.5
2 0 -1  4.785  100.0
2 0 -2  2.969  13.6
2 0 1  2.625  14.1
0 2 1  2.585  32.9
4 0 0  2.147  28.2
2 2 -2  2.118  53.3
4 2 -3  1.615  11.9
2 2 2  1.533  18.7
4 0 -4  1.484  21.6